[1]
This entry pairs a crystal structure of NaCuSnSe2 with its calculated X-ray powder pattern. Radiation: a wavelength of 1.5418 Å. Structure: a structure optimized by DFT (GGA-PBE).
Neutral-atom scattering factors, no anomalous dispersion.

Structural model:
Unit cell a=7.2322 b=4.8371 c=8.0024 alpha=90.00 beta=111.61 gamma=90.00
Space group P2/c (No. 13)
Inequivalent atoms, fractional coordinates:
Na1 0.0000 0.2340 0.2500
Cu1 0.5000 0.0000 0.0000
Sn1 0.5000 0.3915 0.7500
Se1 0.2327 0.2676 0.9948

Largest 6 diffraction maxima, most intense first, 10 to 90 degrees two-theta:
| 2theta | Rel. int. | hkl |
| --- | --- | --- |
| 27.88 | 100 | 1 1 1 |
| 13.17 | 93 | 1 0 0 |
| 38.54 | 42 | 1 1 -3 |
| 28.49 | 39 | 2 0 -2 |
| 29.31 | 37 | 1 1 -2 |
| 41.96 | 32 | 3 1 -1 |


[2]
This entry pairs a crystal structure of NaCu2TeSe with its calculated X-ray powder pattern. Radiation: a wavelength of 1.5418 Å. Structure: a structure optimized by DFT (GGA-PBE).
Neutral-atom scattering factors, no anomalous dispersion.

Structural model:
Unit cell a=7.3018 b=4.2438 c=7.3068 alpha=90.00 beta=99.66 gamma=90.00
Space group P2_1/m (No. 11)
Inequivalent atoms, fractional coordinates:
Na1 0.2129 0.2500 0.4757
Cu1 0.1256 0.7500 0.8920
Cu2 0.3171 0.2500 0.9013
Te1 0.4608 0.7500 0.7702
Se1 0.0310 0.7500 0.2134

Largest 6 diffraction maxima, most intense first, 10 to 90 degrees two-theta:
| 2theta | Rel. int. | hkl |
| --- | --- | --- |
| 47.01 | 100 | 3 1 1 |
| 12.29 | 99 | 0 0 1 |
| 43.30 | 82 | 1 1 -3 |
| 28.30 | 53 | 1 1 1 |
| 42.61 | 42 | 0 2 0 |
| 24.73 | 41 | 0 0 2 |


[3]
This entry pairs a crystal structure of Na2Cu2Te2Se with its calculated X-ray powder pattern. Radiation: a wavelength of 1.5418 Å. Structure: a structure optimized by DFT (GGA-PBE).
Neutral-atom scattering factors, no anomalous dispersion.

Structural model:
Unit cell a=4.3381 b=6.4001 c=6.7898 alpha=76.45 beta=71.44 gamma=70.20
Space group P-1 (No. 2)
Inequivalent atoms, fractional coordinates:
Na1 0.0563 0.2145 0.1726
Cu1 0.2845 0.5543 0.3742
Te1 0.3396 0.1826 0.6404
Se1 0.5000 0.5000 0.0000

Largest 6 diffraction maxima, most intense first, 10 to 90 degrees two-theta:
| 2theta | Rel. int. | hkl |
| --- | --- | --- |
| 29.87 | 100 | 0 1 2 |
| 32.05 | 94 | 1 -1 1 |
| 22.58 | 91 | 1 0 0 |
| 13.90 | 83 | 0 0 1 |
| 41.64 | 62 | 2 1 1 |
| 21.81 | 58 | 0 1 -1 |


[4]
This entry pairs a crystal structure of Na2UCuSe5 with its calculated X-ray powder pattern. Radiation: a wavelength of 1.5418 Å. Structure: a structure optimized by DFT (GGA-PBE).
Neutral-atom scattering factors, no anomalous dispersion.

Structural model:
Unit cell a=4.0520 b=18.2442 c=12.9912 alpha=90.00 beta=90.00 gamma=90.00
Space group Cmc2_1 (No. 36)
Inequivalent atoms, fractional coordinates:
Na1 0.0000 0.0919 0.0000
Na2 0.0000 0.1056 0.6844
U1 0.0000 0.2060 0.3491
Cu1 0.0000 0.4233 0.7479
Se1 0.0000 0.0578 0.3480
Se2 0.0000 0.2918 0.7056
Se3 0.0000 0.3010 0.9882
Se4 0.0000 0.3493 0.3493
Se5 0.0000 0.4989 0.1055

Largest 6 diffraction maxima, most intense first, 10 to 90 degrees two-theta:
| 2theta | Rel. int. | hkl |
| --- | --- | --- |
| 30.61 | 100 | 1 1 3 |
| 11.85 | 58 | 0 2 1 |
| 13.63 | 57 | 0 0 2 |
| 30.19 | 47 | 0 6 1 |
| 50.21 | 39 | 1 7 4 |
| 16.76 | 38 | 0 2 2 |